No. 1
Simulated powder diffractogram
Compound: TbPm3Ga3
Radiation: a wavelength of 1.5418 Å
Structure: the PBE geometry in Alexandria

Main lines, most intense first (10° ≤ 2θ ≤ 90°):
| Position (°2θ) | I (rel.) |
| --- | --- |
| 35.45 | 100 |
| 24.35 | 27 |
| 34.25 | 27 |
| 35.14 | 25 |
| 62.12 | 18 |
| 49.89 | 18 |

Cell and atoms:
Cell: 10.2143 10.4713 7.0198 Å, 90.00 90.00 90.00°
Space group Cmmm (No. 65)
Symmetry-distinct sites (fractional):
Tb  0.0000  0.2396  0.0000 x4
Pm  0.0000  0.2596  0.5000 x4
Pm  0.2289  0.5000  0.0000 x4
Pm  0.2453  0.0000  0.5000 x4
Ga  0.0000  0.0000  0.2421 x4
Ga  0.2500  0.2500  0.2415 x8

---

No. 2
Simulated powder diffractogram
Compound: Tb6PmGa3
Radiation: a wavelength of 1.5418 Å
Structure: the PBE geometry in Alexandria

Main lines, most intense first (10° ≤ 2θ ≤ 90°):
| Position (°2θ) | I (rel.) |
| --- | --- |
| 34.42 | 100 |
| 30.57 | 60 |
| 33.66 | 59 |
| 30.09 | 59 |
| 35.37 | 51 |
| 27.07 | 28 |

Cell and atoms:
Cell: 10.8200 12.7198 8.3025 Å, 90.00 90.00 90.00°
Space group Cmc2_1 (No. 36)
Symmetry-distinct sites (fractional):
Tb  0.0000  0.0342  0.0000 x4
Tb  0.0000  0.2246  0.6716 x4
Tb  0.1683  0.4338  0.5250 x8
Tb  0.2359  0.1784  0.3828 x8
Pm  0.0000  0.3321  0.1624 x4
Ga  0.0000  0.4306  0.8269 x4
Ga  0.2006  0.0821  0.7221 x8

---

No. 3
Simulated powder diffractogram
Compound: Tb3PmGa3
Radiation: a wavelength of 1.5418 Å
Structure: the PBE geometry in Alexandria

Main lines, most intense first (10° ≤ 2θ ≤ 90°):
| Position (°2θ) | I (rel.) |
| --- | --- |
| 34.98 | 100 |
| 29.42 | 26 |
| 37.51 | 25 |
| 66.04 | 25 |
| 29.00 | 21 |
| 26.74 | 18 |

Cell and atoms:
Cell: 9.2757 9.2757 4.7960 Å, 90.00 90.00 120.00°
Space group P6_3/m (No. 176)
Symmetry-distinct sites (fractional):
Tb  0.0188  0.2576  0.2500 x6
Pm  0.3333  0.6667  0.7500 x2
Ga  0.0568  0.6073  0.2500 x6

---

No. 4
Simulated powder diffractogram
Compound: TbPm2Ga4
Radiation: a wavelength of 1.5418 Å
Structure: the PBE geometry in Alexandria

Main lines, most intense first (10° ≤ 2θ ≤ 90°):
| Position (°2θ) | I (rel.) |
| --- | --- |
| 31.27 | 100 |
| 31.70 | 55 |
| 41.82 | 41 |
| 40.12 | 29 |
| 35.53 | 28 |
| 43.23 | 24 |

Cell and atoms:
Cell: 4.1858 4.3191 18.6505 Å, 90.00 90.00 90.00°
Space group Immm (No. 71)
Symmetry-distinct sites (fractional):
Tb  0.0000  0.0000  0.0000 x2
Pm  0.0000  0.5000  0.3158 x4
Ga  0.0000  0.0000  0.4347 x4
Ga  0.0000  0.5000  0.1419 x4

---

No. 5
Simulated powder diffractogram
Compound: TbPm8Ga6
Radiation: a wavelength of 1.5418 Å
Structure: the PBE geometry in Alexandria

Main lines, most intense first (10° ≤ 2θ ≤ 90°):
| Position (°2θ) | I (rel.) |
| --- | --- |
| 35.05 | 100 |
| 35.28 | 96 |
| 24.67 | 67 |
| 63.17 | 36 |
| 50.58 | 35 |
| 62.72 | 18 |

Cell and atoms:
Cell: 8.8120 8.8120 18.8739 Å, 90.00 90.00 120.00°
Space group R-3 (No. 148, hexagonal axes)
Symmetry-distinct sites (fractional):
Tb  0.0000  0.0000  0.0000 x3
Pm  0.0000  0.0000  0.3338 x6
Pm  0.9998  0.3334  0.1131 x18
Ga  0.0002  0.3296  0.9440 x18

---

No. 6
Simulated powder diffractogram
Compound: Tb6Pm2Ga
Radiation: a wavelength of 1.5418 Å
Structure: the PBE geometry in Alexandria

Main lines, most intense first (10° ≤ 2θ ≤ 90°):
| Position (°2θ) | I (rel.) |
| --- | --- |
| 32.63 | 100 |
| 31.02 | 67 |
| 33.40 | 65 |
| 38.08 | 41 |
| 27.44 | 39 |
| 31.16 | 35 |

Cell and atoms:
Cell: 17.2985 9.3605 3.5372 Å, 90.00 90.19 90.00°
Space group C2/m (No. 12)
Symmetry-distinct sites (fractional):
Tb  0.0000  0.2249  0.0000 x4
Tb  0.1623  0.3296  0.4992 x8
Pm  0.1748  0.0000  0.9975 x4
Ga  0.0000  0.5000  0.5000 x2

---

No. 7
Simulated powder diffractogram
Compound: Tb2PmZn2Ga2
Radiation: a wavelength of 1.5418 Å
Structure: the PBE geometry in Alexandria

Main lines, most intense first (10° ≤ 2θ ≤ 90°):
| Position (°2θ) | I (rel.) |
| --- | --- |
| 34.61 | 100 |
| 40.36 | 96 |
| 32.23 | 82 |
| 23.20 | 41 |
| 65.24 | 39 |
| 54.19 | 28 |

Cell and atoms:
Cell: 4.4697 4.4697 27.9110 Å, 90.00 90.00 120.00°
Space group R-3m (No. 166, hexagonal axes)
Symmetry-distinct sites (fractional):
Tb  0.0000  0.0000  0.1275 x6
Pm  0.0000  0.0000  0.0000 x3
Zn  0.0000  0.0000  0.4014 x6
Ga  0.0000  0.0000  0.2604 x6

---

No. 8
Simulated powder diffractogram
Compound: PmGa2Tc4
Radiation: a wavelength of 1.5418 Å
Structure: the PBE geometry in Alexandria

Main lines, most intense first (10° ≤ 2θ ≤ 90°):
| Position (°2θ) | I (rel.) |
| --- | --- |
| 35.58 | 100 |
| 42.92 | 68 |
| 44.00 | 40 |
| 73.87 | 23 |
| 62.32 | 22 |
| 12.44 | 22 |

Cell and atoms:
Cell: 4.2140 14.2288 4.2142 Å, 90.00 90.00 90.00°
Space group Cmmm (No. 65)
Symmetry-distinct sites (fractional):
Pm  0.0000  0.0000  0.0000 x2
Ga  0.0000  0.4115  0.5000 x4
Tc  0.0000  0.2000  0.5000 x4
Tc  0.0000  0.3000  0.0000 x4

---

No. 9
Simulated powder diffractogram
Compound: Pm2GaTe5
Radiation: a wavelength of 1.5418 Å
Structure: the PBE geometry in Alexandria

Main lines, most intense first (10° ≤ 2θ ≤ 90°):
| Position (°2θ) | I (rel.) |
| --- | --- |
| 31.29 | 100 |
| 42.89 | 84 |
| 28.58 | 76 |
| 23.01 | 66 |
| 15.41 | 42 |
| 12.04 | 39 |

Cell and atoms:
Cell: 6.2462 14.7052 13.6364 Å, 90.00 90.00 90.00°
Space group Cmcm (No. 63)
Symmetry-distinct sites (fractional):
Pm  0.0000  0.1766  0.0760 x8
Ga  0.0000  0.1935  0.7500 x4
Te  0.0000  0.0355  0.6007 x8
Te  0.0000  0.3129  0.2500 x4
Te  0.0000  0.3190  0.5935 x8

---

No. 10
Simulated powder diffractogram
Compound: Pm10Ga3Te3
Radiation: a wavelength of 1.5418 Å
Structure: the PBE geometry in Alexandria

Main lines, most intense first (10° ≤ 2θ ≤ 90°):
| Position (°2θ) | I (rel.) |
| --- | --- |
| 33.10 | 100 |
| 33.84 | 83 |
| 34.17 | 46 |
| 30.03 | 36 |
| 52.12 | 28 |
| 29.66 | 23 |

Cell and atoms:
Cell: 9.0895 9.0895 6.5189 Å, 90.00 90.00 120.00°
Space group P-62m (No. 189)
Symmetry-distinct sites (fractional):
Pm  0.0000  0.2449  0.0000 x3
Pm  0.0000  0.7574  0.5000 x3
Pm  0.3333  0.6667  0.2556 x4
Ga  0.0000  0.3904  0.5000 x3
Te  0.0000  0.6103  0.0000 x3

---

No. 11
Simulated powder diffractogram
Compound: Pm4Ga2Te
Radiation: a wavelength of 1.5418 Å
Structure: the PBE geometry in Alexandria

Main lines, most intense first (10° ≤ 2θ ≤ 90°):
| Position (°2θ) | I (rel.) |
| --- | --- |
| 30.46 | 100 |
| 36.26 | 81 |
| 30.70 | 54 |
| 36.42 | 21 |
| 61.60 | 17 |
| 50.11 | 17 |

Cell and atoms:
Cell: 9.2854 9.2854 9.2001 Å, 90.00 90.00 90.00°
Space group I-42d (No. 122)
Symmetry-distinct sites (fractional):
Pm  0.0722  0.1768  0.3131 x16
Ga  0.1307  0.2500  0.6250 x8
Te  0.0000  0.0000  0.0000 x4

---

No. 12
Simulated powder diffractogram
Compound: Pm2Ga2Te
Radiation: a wavelength of 1.5418 Å
Structure: the PBE geometry in Alexandria

Main lines, most intense first (10° ≤ 2θ ≤ 90°):
| Position (°2θ) | I (rel.) |
| --- | --- |
| 30.18 | 100 |
| 42.06 | 51 |
| 35.25 | 34 |
| 62.87 | 24 |
| 52.64 | 21 |
| 25.02 | 19 |

Cell and atoms:
Cell: 4.2961 4.2961 24.4485 Å, 90.00 90.00 120.00°
Space group R-3m (No. 166, hexagonal axes)
Symmetry-distinct sites (fractional):
Pm  0.0000  0.0000  0.0854 x6
Ga  0.0000  0.0000  0.3213 x6
Te  0.0000  0.0000  0.5000 x3